Computed PXRD pattern of Zr3Pb for Cu Kα, 1.54184 Å, from a PBE-relaxed structure.
Kinematic intensities with the Lorentz-polarization factor, no thermal factor.

Principal peaks in the range 5 to 70 degrees two-theta, by angle:
| 2θ (°) | intensity | (hkl) |
| --- | --- | --- |
| 23.1 | 20 | 0 1 1 |
| 33.6 | 58 | 1 0 1 |
| 34.0 | 56 | 0 2 0 |
| 35.6 | 100 | 1 1 -1 |
| 36.2 | 94 | 0 1 2 |
| 48.6 | 43 | 1 2 1 |
| 60.9 | 20 | 2 1 0 |
| 61.9 | 21 | 1 3 -1 |
| 62.2 | 18 | 1 1 3 |
| 62.3 | 19 | 0 3 2 |

Crystal structure
Lattice parameters (Å, degrees): 3.189 5.266 5.648 90.00 95.01 90.00
Space group P2/m (No. 10)
Inequivalent atoms, fractional coordinates:
Zr: 0.000 0.000 0.000
Zr: 0.265 0.500 0.766
Pb: 0.500 0.000 0.500